1.
Diffraction record for Pm2Nd5Au4. The XRD peak list is computed, not measured: it uses a PBE-relaxed structure and Cu Kα.

Largest 10 diffraction maxima, by angle, 10° ≤ 2θ ≤ 90°:
two_theta, d/Å, Rel. int.
23.09, 3.852, 52.7
28.06, 3.180, 55.1
28.64, 3.117, 85.1
29.25, 3.054, 86.4
32.62, 2.745, 97.9
34.11, 2.629, 87.9
35.30, 2.543, 68.7
39.74, 2.268, 76.6
41.64, 2.169, 100.0
46.57, 1.950, 64.4

Atomic structure:
Unit cell a=12.4545 b=12.4545 c=7.1355 alpha=94.10 beta=94.10 gamma=18.02
Fractional coordinates of all 11 atoms:
Pm: 0.2266 0.2266 0.2415
Pm: 0.7734 0.7734 0.7585
Nd: 0.0000 0.0000 0.0000
Nd: 0.3675 0.3675 0.0920
Nd: 0.3958 0.3958 0.6133
Nd: 0.6042 0.6042 0.3867
Nd: 0.6325 0.6325 0.9080
Au: 0.1797 0.1797 0.6372
Au: 0.4788 0.4788 0.3097
Au: 0.5212 0.5212 0.6903
Au: 0.8203 0.8203 0.3628


2.
Diffraction record for PmNd3Au2. The XRD peak list is computed, not measured: it uses a PBE-relaxed structure and Cu Kα.

Largest 10 diffraction maxima, by angle, 10° ≤ 2θ ≤ 90°:
two_theta, d/Å, Rel. int.
28.19, 3.166, 22.1
30.50, 2.931, 28.6
30.70, 2.912, 29.1
31.40, 2.849, 100.0
35.04, 2.561, 15.7
36.51, 2.461, 59.4
36.84, 2.440, 24.2
43.53, 2.079, 16.3
46.43, 1.956, 26.9
60.68, 1.526, 14.3

Atomic structure:
Unit cell a=3.9113 b=10.1273 c=9.1216 alpha=90.00 beta=90.00 gamma=90.00
Fractional coordinates of all 12 atoms:
Pm: 0.0000 0.0722 0.0000
Pm: 0.0000 0.9278 0.5000
Nd: 0.0000 0.2803 0.6526
Nd: 0.0000 0.7197 0.1526
Nd: 0.5000 0.2189 0.3290
Nd: 0.5000 0.4250 0.9808
Nd: 0.5000 0.5750 0.4808
Nd: 0.5000 0.7811 0.8290
Au: 0.0000 0.4328 0.2605
Au: 0.0000 0.5672 0.7605
Au: 0.5000 0.0664 0.7207
Au: 0.5000 0.9336 0.2207